Theoretical powder X-ray diffraction pattern of Sr3As4Pd4 for λ = 1.5418 Å (Cu Kα), from a GGA-PBE-relaxed structure.

Principal peaks in the range 2θ from 10° to 90°, sorted by position:
| (hkl) | 2theta | I (rel.) |
| --- | --- | --- |
| 1 0 0 | 20.7 | 14 |
| 1 0 3 | 29.6 | 24 |
| 1 1 2 | 32.5 | 100 |
| 1 0 4 | 35.1 | 18 |
| 0 1 5 | 40.9 | 47 |
| 0 2 0 | 41.4 | 32 |
| 2 0 0 | 42.2 | 30 |
| 1 1 5 | 46.3 | 18 |
| 2 1 5 | 60.2 | 24 |
| 2 2 0 | 60.6 | 20 |

Cell and atoms:
```
Sr3As4Pd4
1.0
4.2853 0.0000 0.0000
0.0000 4.3650 0.0000
0.0000 0.0000 12.7638
Sr As Pd
3 4 4
direct
0.0000 0.0000 0.0000
0.0000 0.5000 0.2990
0.0000 0.5000 0.7010
0.5000 0.0000 0.3850
0.5000 0.0000 0.6150
0.5000 0.5000 0.0999
0.5000 0.5000 0.9001
0.0000 0.0000 0.5000
0.5000 0.0000 0.1895
0.5000 0.0000 0.8105
0.5000 0.5000 0.5000
```

Theoretical powder X-ray diffraction pattern of NaZrCuTe2Se for λ = 1.5418 Å (Cu Kα), from a GGA-PBE-relaxed structure.

Principal peaks in the range 2θ from 10° to 90°, sorted by position:
| (hkl) | 2theta | I (rel.) |
| --- | --- | --- |
| 2 0 0 | 12.4 | 92 |
| 2 1 0 | 25.6 | 38 |
| 2 0 3 | 28.0 | 91 |
| 3 1 1 | 30.5 | 70 |
| 2 1 2 | 30.7 | 45 |
| 3 1 2 | 33.8 | 87 |
| 5 1 2 | 42.5 | 100 |
| 0 2 0 | 45.5 | 43 |
| 0 1 5 | 48.3 | 35 |
| 2 2 3 | 54.3 | 28 |

Cell and atoms:
```
NaZrCuTe2Se
1.0
14.2250 0.0000 0.0000
0.0000 3.9900 0.0000
0.0000 0.0000 10.6818
Na Zr Cu Te Se
4 4 4 8 4
direct
0.2423 0.2500 0.0487
0.2577 0.7500 0.5487
0.7423 0.2500 0.4513
0.7577 0.7500 0.9513
0.0103 0.2500 0.3316
0.4897 0.7500 0.8316
0.5103 0.2500 0.1684
0.9897 0.7500 0.6684
0.0087 0.7500 0.0936
0.4913 0.2500 0.5936
0.5087 0.7500 0.4064
0.9913 0.2500 0.9064
0.1112 0.7500 0.8803
0.1485 0.7500 0.2543
0.3515 0.2500 0.7543
0.3888 0.2500 0.3803
0.6112 0.7500 0.6197
0.6485 0.7500 0.2457
0.8515 0.2500 0.7457
0.8888 0.2500 0.1197
0.0968 0.2500 0.5664
0.4032 0.7500 0.0664
0.5968 0.2500 0.9336
0.9032 0.7500 0.4336
```

Theoretical powder X-ray diffraction pattern of NbTlCuSe3 for λ = 1.5418 Å (Cu Kα), from a GGA-PBE-relaxed structure.

Principal peaks in the range 2θ from 10° to 90°, sorted by position:
| (hkl) | 2theta | I (rel.) |
| --- | --- | --- |
| 3 0 1 | 23.4 | 50 |
| 2 1 0 | 28.2 | 35 |
| 2 1 2 | 31.9 | 45 |
| 4 0 2 | 33.3 | 24 |
| 1 1 3 | 33.6 | 100 |
| 5 0 1 | 38.1 | 21 |
| 1 1 4 | 39.1 | 37 |
| 4 1 2 | 41.4 | 25 |
| 5 1 1 | 45.5 | 27 |
| 0 2 0 | 49.0 | 26 |

Cell and atoms:
```
NbTlCuSe3
1.0
12.0342 0.0000 0.0000
0.0000 3.7177 0.0000
0.0000 0.0000 12.0932
Nb Tl Cu Se
4 4 4 12
direct
0.0488 0.2500 0.1601
0.4512 0.7500 0.6601
0.5488 0.2500 0.3399
0.9512 0.7500 0.8399
0.1766 0.2500 0.4832
0.3234 0.7500 0.9832
0.6766 0.2500 0.0168
0.8234 0.7500 0.5168
0.2217 0.7500 0.2976
0.2783 0.2500 0.7976
0.7217 0.7500 0.2024
0.7783 0.2500 0.7024
0.0197 0.7500 0.3132
0.0874 0.2500 0.9301
0.2399 0.7500 0.6772
0.2601 0.2500 0.1772
0.4126 0.7500 0.4301
0.4803 0.2500 0.8132
0.5197 0.7500 0.1868
0.5874 0.2500 0.5699
0.7399 0.7500 0.8228
0.7601 0.2500 0.3228
0.9126 0.7500 0.0699
0.9803 0.2500 0.6868
```